Structure and simulated PXRD pattern of BaCaTbSnO6 (a cell relaxed with PBE; CuKα).

Cell: 5.967 6.006 8.486 Å, 90.13 90.27 90.13°
Sites, in units of the cell vectors:
Ba 0.007 0.024 0.250
Ba 0.993 0.976 0.750
Ca 0.498 0.471 0.746
Ca 0.502 0.529 0.254
Tb 0.000 0.500 0.500
Tb 0.500 0.000 0.000
Sn 0.000 0.500 0.000
Sn 0.500 0.000 0.500
O 0.098 0.487 0.761
O 0.196 0.782 0.020
O 0.217 0.802 0.485
O 0.288 0.310 0.061
O 0.312 0.290 0.442
O 0.449 0.073 0.740
O 0.551 0.927 0.260
O 0.688 0.710 0.558
O 0.712 0.690 0.939
O 0.783 0.198 0.515
O 0.804 0.218 0.980
O 0.902 0.513 0.239

Principal peaks in the range 2θ = 10–90°, low angle first:
| d/Å | intensity |
| --- | --- |
| 5.987 | 10.2 |
| 4.236 | 16.8 |
| 3.000 | 100.0 |
| 2.986 | 46.9 |
| 2.120 | 27.0 |
| 2.114 | 13.3 |
| 1.734 | 27.1 |
| 1.730 | 16.5 |
| 1.726 | 10.9 |
| 1.722 | 11.8 |
| 1.501 | 11.4 |
| 1.340 | 13.2 |